No. 1
This entry pairs a crystal structure of Li2CaInBr with its theoretical powder diffraction line list. Radiation: Cu Kα (weighted mean of Kα1 and Kα2). Structure: a DFT-relaxed cell (PBE, Alexandria).

```
Li2CaInBr
1.0
5.0898 0.0000 0.0000
0.0000 5.0898 0.0000
0.0000 0.0000 6.1969
Li Ca In Br
2 1 1 1
Cartesian
0.0000 2.5449 0.0000
2.5449 0.0000 0.0000
0.0000 0.0000 3.0985
2.5449 2.5449 0.0000
2.5449 2.5449 3.0985
```

Main lines, by angle (10 to 90 degrees two-theta):
2theta, intensity
17.4, 100
22.6, 27
24.7, 97
28.8, 39
33.9, 39
35.3, 45
38.3, 60
46.2, 41

---

No. 2
This entry pairs a crystal structure of CaYInBr6 with its theoretical powder diffraction line list. Radiation: Cu Kα (weighted mean of Kα1 and Kα2). Structure: a DFT-relaxed cell (PBE, Alexandria).

```
CaYInBr6
1.0
7.4461 0.0000 0.0000
-3.7231 6.4485 0.0000
0.0000 0.0000 14.2827
Ca Y In Br
2 2 2 12
Cartesian
0.0000 4.2990 3.5707
3.7231 2.1495 10.7120
0.0000 4.2990 10.7120
3.7231 2.1495 3.5707
0.0000 0.0000 0.0000
0.0000 0.0000 7.1413
-1.3135 2.4025 9.0863
-2.2992 4.1098 12.3377
1.3135 2.4025 12.3377
-0.9857 6.3848 9.0863
2.7374 0.0637 1.9450
1.4239 2.3388 5.1963
2.2992 4.1098 9.0863
0.9857 6.3848 12.3377
4.7087 0.0637 5.1963
2.4096 4.0460 1.9450
6.0222 2.3388 1.9450
5.0365 4.0460 5.1963
```

Main lines, by angle (10 to 90 degrees two-theta):
2theta, intensity
18.5, 57
27.0, 100
34.8, 75
39.0, 24
42.0, 41
45.2, 22
55.7, 15
68.3, 15

---

No. 3
This entry pairs a crystal structure of CaIrBr2 with its theoretical powder diffraction line list. Radiation: Cu Kα (weighted mean of Kα1 and Kα2). Structure: a DFT-relaxed cell (PBE, Alexandria).

```
CaIrBr2
1.0
-1.9685 2.3030 6.6012
1.9685 -2.3030 6.6012
1.9685 2.3030 -6.6012
Ca Ir Br
1 1 2
Cartesian
0.0000 0.0000 0.0000
0.0000 0.0000 6.6012
1.9685 0.0000 4.7914
0.0000 2.3030 1.8098
```

Main lines, by angle (10 to 90 degrees two-theta):
2theta, intensity
13.4, 87
20.4, 100
30.5, 48
32.9, 63
39.1, 23
40.7, 80
50.4, 24
50.9, 18

---

No. 4
This entry pairs a crystal structure of CaLaIrBr with its theoretical powder diffraction line list. Radiation: Cu Kα (weighted mean of Kα1 and Kα2). Structure: a DFT-relaxed cell (PBE, Alexandria).

```
CaLaIrBr
1.0
2.0761 1.1986 7.8182
-2.0761 1.1986 7.8182
0.0000 -2.3972 7.8182
Ca La Ir Br
1 1 1 1
Cartesian
0.0000 0.0000 0.0000
0.0000 0.0000 4.6997
0.0000 0.0000 13.9583
0.0000 0.0000 17.9128
```

Main lines, by angle (10 to 90 degrees two-theta):
2theta, intensity
11.3, 74
25.9, 61
31.3, 100
36.7, 37
43.6, 48
46.2, 21
54.7, 21
72.4, 18

---

No. 5
This entry pairs a crystal structure of KCa3Br7 with its theoretical powder diffraction line list. Radiation: Cu Kα (weighted mean of Kα1 and Kα2). Structure: a DFT-relaxed cell (PBE, Alexandria).

```
KCa3Br7
1.0
4.8645 -5.3400 0.0000
4.8645 5.3400 0.0000
-2.5514 0.0000 6.9776
K Ca Br
1 3 7
Cartesian
0.0000 0.0000 0.0000
3.5889 2.4115 3.4888
4.8645 0.0000 0.0000
3.5889 -2.4115 3.4888
-1.2757 0.0000 3.4888
1.3161 2.2041 5.3350
2.7188 0.0000 1.8996
5.8616 2.2041 1.6426
1.3161 -2.2041 5.3350
4.4589 0.0000 5.0780
5.8616 -2.2041 1.6426
```

Main lines, by angle (10 to 90 degrees two-theta):
2theta, intensity
25.5, 62
26.3, 77
30.5, 48
31.3, 61
31.6, 100
33.6, 40
40.7, 55
44.7, 31

---

No. 6
This entry pairs a crystal structure of K4Ca3Br10 with its theoretical powder diffraction line list. Radiation: Cu Kα (weighted mean of Kα1 and Kα2). Structure: a DFT-relaxed cell (PBE, Alexandria).

```
K4Ca3Br10
1.0
-2.8537 2.8537 19.6562
2.8537 -2.8537 19.6562
2.8537 2.8537 -19.6562
K Ca Br
4 3 10
Cartesian
0.0000 0.0000 2.7030
0.0000 0.0000 7.8758
0.0000 0.0000 31.4366
0.0000 0.0000 36.6093
0.0000 0.0000 13.8945
0.0000 0.0000 19.6562
0.0000 0.0000 25.4179
2.8537 0.0000 0.0000
2.8537 0.0000 5.6169
0.0000 0.0000 11.0870
2.8537 0.0000 14.0392
0.0000 0.0000 16.8084
0.0000 2.8537 0.0000
0.0000 0.0000 22.5040
0.0000 2.8537 5.6169
0.0000 0.0000 28.2253
0.0000 2.8537 14.0392
```

Main lines, by angle (10 to 90 degrees two-theta):
2theta, intensity
15.7, 27
25.9, 72
28.6, 70
31.3, 100
31.9, 42
44.9, 35
45.3, 60
56.1, 33

---

No. 7
This entry pairs a crystal structure of KLiCaBr4 with its theoretical powder diffraction line list. Radiation: Cu Kα (weighted mean of Kα1 and Kα2). Structure: a DFT-relaxed cell (PBE, Alexandria).

```
KLiCaBr4
1.0
7.1067 0.0000 0.0000
0.0000 7.4323 0.0000
-2.7981 0.0000 8.5419
K Li Ca Br
2 2 2 8
Cartesian
1.5931 1.8581 0.4634
2.7154 5.5742 8.0785
0.8355 5.5742 2.7837
3.4730 1.8581 5.7581
-0.0284 1.8581 4.7103
4.3370 5.5742 3.8316
-1.9515 7.4289 6.0915
-1.9515 3.7196 6.0915
2.8156 5.5742 1.3205
1.7363 5.5742 5.0624
2.5722 1.8581 3.4794
1.4929 1.8581 7.2214
6.2600 0.0034 2.4504
6.2600 3.7128 2.4504
```

Main lines, by angle (10 to 90 degrees two-theta):
2theta, intensity
26.4, 29
27.4, 100
28.0, 24
28.1, 28
30.5, 39
30.6, 31
31.9, 65
47.2, 25

---

No. 8
This entry pairs a crystal structure of KCaSmBr6 with its theoretical powder diffraction line list. Radiation: Cu Kα (weighted mean of Kα1 and Kα2). Structure: a DFT-relaxed cell (PBE, Alexandria).

```
KCaSmBr6
1.0
7.5341 0.0000 0.0000
-3.7670 6.5247 0.0000
0.0000 0.0000 14.3042
K Ca Sm Br
2 2 2 12
Cartesian
0.0000 0.0000 0.0000
0.0000 0.0000 7.1521
0.0000 4.3498 3.5760
3.7670 2.1749 10.7281
0.0000 4.3498 10.7281
3.7670 2.1749 3.5760
-1.3671 2.4232 9.0844
-2.3520 4.1292 12.3719
1.3671 2.4232 12.3719
-0.9850 6.4970 9.0844
2.7821 0.0277 1.9323
1.4150 2.3955 5.2198
2.3520 4.1292 9.0844
0.9850 6.4970 12.3719
4.7520 0.0277 5.2198
2.4000 4.1015 1.9323
6.1191 2.3955 1.9323
5.1341 4.1015 5.2198
```

Main lines, by angle (10 to 90 degrees two-theta):
2theta, intensity
12.4, 26
14.9, 20
18.4, 30
26.7, 100
34.6, 64
41.5, 36
45.0, 27
67.9, 19